Computed PXRD pattern of Tb4Sn3Ru for Cu Kα X-rays, from the GGA-PBE geometry in Alexandria.

Cell and atoms:
abc: 4.3218 4.3694 11.1751
angles: 90.00 90.00 90.00
Space group Pmm2 (No. 25)
Unique sites:
1 Tb 0.0000 0.0000 0.0000 x1
2 Tb 0.0000 0.5000 0.4550 x1
3 Tb 0.5000 0.0000 0.6947 x1
4 Tb 0.5000 0.5000 0.2017 x1
5 Sn 0.0000 0.5000 0.7400 x1
6 Sn 0.5000 0.0000 0.4128 x1
7 Sn 0.5000 0.5000 0.9224 x1
8 Ru 0.0000 0.0000 0.2542 x1

Principal peaks in the range 10° ≤ 2θ ≤ 80°, sorted by position:
2θ = 30.16°, I 100, hkl 1 1 1
2θ = 31.56°, I 22, hkl 0 1 3
2θ = 32.04°, I 26, hkl 0 0 4
2θ = 37.96°, I 60, hkl 1 1 3
2θ = 38.36°, I 18, hkl 1 0 4
2θ = 41.33°, I 25, hkl 0 2 0
2θ = 41.80°, I 24, hkl 2 0 0
2θ = 53.26°, I 23, hkl 0 2 4
2θ = 60.24°, I 17, hkl 2 2 0
2θ = 69.86°, I 14, hkl 2 2 4

Computed PXRD pattern of ZnC2S2O2F2 for Cu Kα X-rays, from the GGA-PBE geometry in Alexandria.

Cell and atoms:
abc: 3.0214 4.4858 10.3964
angles: 98.32 90.42 109.59
Space group P-1 (No. 2)
Unique sites:
1 Zn 0.0000 0.0000 0.0000 x1
2 C 0.2510 0.4887 0.2900 x2
3 S 0.1959 0.3995 0.8138 x2
4 O 0.3602 0.7238 0.9157 x2
5 F 0.3533 0.6889 0.4059 x2

Principal peaks in the range 10° ≤ 2θ ≤ 80°, sorted by position:
2θ = 24.24°, I 47, hkl 0 1 1
2θ = 25.31°, I 100, hkl 0 1 -2
2θ = 29.61°, I 19, hkl 0 1 2
2θ = 31.09°, I 30, hkl 0 1 -3
2θ = 33.11°, I 23, hkl -1 1 1
2θ = 33.22°, I 25, hkl 1 0 1
2θ = 36.87°, I 32, hkl -1 1 2
2θ = 37.07°, I 29, hkl 1 0 2
2θ = 38.18°, I 37, hkl 0 1 -4
2θ = 45.89°, I 18, hkl 1 -2 2

Computed PXRD pattern of Tb5Y2 for Cu Kα X-rays, from the GGA-PBE geometry in Alexandria.

Cell and atoms:
abc: 5.6801 5.6801 24.4197
angles: 90.00 90.00 120.00
Space group R-3m (No. 166, hexagonal axes)
Unique sites:
1 Tb 0.0000 0.0000 0.0000 x3
2 Tb 0.0000 0.0000 0.2880 x6
3 Tb 0.0000 0.0000 0.4294 x6
4 Y 0.0000 0.0000 0.1450 x6

Principal peaks in the range 10° ≤ 2θ ≤ 80°, sorted by position:
2θ = 10.87°, I 3, hkl 0 0 3
2θ = 18.40°, I 2, hkl 1 0 1
2θ = 31.47°, I 100, hkl 1 1 0
2θ = 45.10°, I 18, hkl 0 2 7
2θ = 55.93°, I 10, hkl 0 1 14
2θ = 56.06°, I 29, hkl 3 0 0
2θ = 65.62°, I 6, hkl 2 0 14
2θ = 65.76°, I 6, hkl 2 2 0
2θ = 74.61°, I 8, hkl 1 2 14
2θ = 74.71°, I 8, hkl 1 3 7

Computed PXRD pattern of Cu5As for Cu Kα X-rays, from the GGA-PBE geometry in Alexandria.

Cell and atoms:
abc: 4.5915 4.5915 4.2004
angles: 90.00 90.00 120.00
Space group P-62m (No. 189)
Unique sites:
1 Cu 0.0000 0.6608 0.0000 x3
2 Cu 0.3333 0.6667 0.5000 x2
3 As 0.0000 0.0000 0.5000 x1

Principal peaks in the range 10° ≤ 2θ ≤ 80°, sorted by position:
2θ = 39.24°, I 25, hkl 1 1 0
2θ = 43.07°, I 25, hkl 0 0 2
2θ = 45.00°, I 100, hkl 1 1 1
2θ = 59.67°, I 14, hkl 1 1 2
2θ = 71.13°, I 15, hkl 3 0 0

Computed PXRD pattern of Ac3Tl3Hg5 for Cu Kα X-rays, from the GGA-PBE geometry in Alexandria.

Cell and atoms:
abc: 10.5887 10.5887 3.9228
angles: 90.00 90.00 120.00
Space group P-62m (No. 189)
Unique sites:
1 Ac 0.0000 0.5699 0.0000 x3
2 Tl 0.0000 0.8317 0.5000 x3
3 Hg 0.0000 0.3279 0.5000 x3
4 Hg 0.3333 0.6667 0.5000 x2

Principal peaks in the range 10° ≤ 2θ ≤ 80°, sorted by position:
2θ = 25.70°, I 50, hkl 2 1 0
2θ = 28.32°, I 99, hkl 1 1 1
2θ = 29.22°, I 55, hkl 3 0 0
2θ = 29.98°, I 66, hkl 2 0 1
2θ = 34.53°, I 78, hkl 2 1 1
2θ = 35.29°, I 100, hkl 3 1 0
2θ = 41.14°, I 82, hkl 2 2 1
2θ = 49.14°, I 43, hkl 3 2 1
2θ = 59.52°, I 46, hkl 3 1 2
2θ = 65.55°, I 42, hkl 6 0 1

Computed PXRD pattern of Nb2CuO6 for Cu Kα X-rays, from the GGA-PBE geometry in Alexandria.

Cell and atoms:
abc: 14.3737 5.6760 5.2505
angles: 90.00 90.00 90.00
Space group Pbcn (No. 60)
Unique sites:
1 Nb 0.1602 0.1838 0.1994 x8
2 Cu 0.0000 0.3285 0.7500 x4
3 O 0.0858 0.4150 0.3230 x8
4 O 0.0922 0.0998 0.8827 x8
5 O 0.2399 0.1339 0.5261 x8

Principal peaks in the range 10° ≤ 2θ ≤ 80°, sorted by position:
2θ = 24.31°, I 23, hkl 3 1 0
2θ = 29.75°, I 100, hkl 3 1 1
2θ = 31.52°, I 9, hkl 0 2 0
2θ = 34.15°, I 16, hkl 0 0 2
2θ = 35.97°, I 12, hkl 0 2 1
2θ = 51.65°, I 11, hkl 6 0 2
2θ = 51.96°, I 13, hkl 3 3 0
2θ = 52.97°, I 20, hkl 6 2 1
2θ = 63.00°, I 11, hkl 9 1 1
2θ = 63.66°, I 9, hkl 3 3 2

Computed PXRD pattern of CsLi2Sb2 for Cu Kα X-rays, from the GGA-PBE geometry in Alexandria.

Cell and atoms:
abc: 6.9905 14.8550 6.5635
angles: 90.00 111.64 90.00
Space group C2/c (No. 15)
Unique sites:
1 Cs 0.0000 0.1082 0.2500 x4
2 Li 0.0000 0.2471 0.7500 x4
3 Li 0.0000 0.4757 0.7500 x4
4 Sb 0.1256 0.3583 0.1244 x8

Principal peaks in the range 10° ≤ 2θ ≤ 80°, sorted by position:
2θ = 23.97°, I 100, hkl 0 4 0
2θ = 24.16°, I 100, hkl 1 1 1
2θ = 28.00°, I 41, hkl 1 1 -2
2θ = 28.58°, I 83, hkl 2 2 -1
2θ = 29.62°, I 45, hkl 1 3 1
2θ = 32.87°, I 31, hkl 1 3 -2
2θ = 38.45°, I 32, hkl 1 5 1
2θ = 44.67°, I 23, hkl 2 2 -3
2θ = 46.29°, I 22, hkl 0 2 3
2θ = 54.21°, I 30, hkl 2 4 2

Computed PXRD pattern of PrGdAlGa for Cu Kα X-rays, from the GGA-PBE geometry in Alexandria.

Cell and atoms:
abc: 7.3716 7.3716 7.3716
angles: 90.00 90.00 90.00
Space group F-43m (No. 216)
Unique sites:
1 Pr 0.0000 0.0000 0.0000 x4
2 Gd 0.0000 0.0000 0.5000 x4
3 Al 0.2500 0.2500 0.2500 x4
4 Ga 0.2500 0.2500 0.7500 x4

Principal peaks in the range 10° ≤ 2θ ≤ 80°, sorted by position:
2θ = 20.87°, I 3, hkl 1 1 1
2θ = 24.15°, I 30, hkl 2 0 0
2θ = 34.41°, I 100, hkl 2 2 0
2θ = 40.59°, I 2, hkl 3 1 1
2θ = 42.48°, I 9, hkl 2 2 2
2θ = 49.46°, I 18, hkl 4 0 0
2θ = 55.77°, I 12, hkl 4 2 0
2θ = 61.64°, I 37, hkl 4 2 2
2θ = 72.54°, I 11, hkl 4 4 0
2θ = 77.73°, I 6, hkl 6 0 0